Entry 1:
# KCe2ReO8
Theoretical powder XRD pattern, a wavelength of 1.5418 Å. Input: a cell relaxed with GGA-PBE.
Intensities are scaled so that the largest is 100.

```
data_KCe2ReO8
_space_group_name_H-M_alt 'P 1 2/m 1'
_space_group_IT_number 10
_cell_length_a 5.0831
_cell_length_b 7.1714
_cell_length_c 5.1150
_cell_angle_alpha 90.00
_cell_angle_beta 91.17
_cell_angle_gamma 90.00
loop_
_space_group_symop_operation_xyz
'x,y,z'
'-x,-y,-z'
'-x,y,-z'
'x,-y,z'
loop_
_atom_site_label
_atom_site_type_symbol
_atom_site_fract_x
_atom_site_fract_y
_atom_site_fract_z
K1 K 0.0000 0.0000 0.0000
Ce1 Ce 0.5000 0.2452 0.5000
Re1 Re 0.0000 0.5000 0.0000
O1 O 0.1901 0.3146 0.1840
O2 O 0.2659 0.5000 0.7290
O3 O 0.3251 0.0000 0.6590
```

Peak list (10 most intense, 2θ = 15–90°, in order of rising 2θ)
| index | 2θ/deg | I_rel |
| --- | --- | --- |
| 0 1 1 | 21.38 | 34 |
| 1 0 -1 | 24.44 | 56 |
| 1 0 1 | 24.95 | 53 |
| 1 2 0 | 30.48 | 100 |
| 0 0 2 | 35.10 | 17 |
| 2 0 0 | 35.32 | 13 |
| 1 2 -2 | 46.89 | 19 |
| 2 2 -1 | 47.02 | 20 |
| 1 2 2 | 47.47 | 18 |
| 2 2 1 | 47.60 | 19 |

---

Entry 2:
# K2CeRh3O12
Theoretical powder XRD pattern, a wavelength of 1.5418 Å. Input: a cell relaxed with GGA-PBE.
Intensities are scaled so that the largest is 100.

```
data_K2CeRh3O12
_space_group_name_H-M_alt 'R -3 m'
_space_group_IT_number 166
_space_group_name_Hall '-R 3 2"'
_cell_length_a 7.2835
_cell_length_b 7.2835
_cell_length_c 18.9138
_cell_angle_alpha 90.00
_cell_angle_beta 90.00
_cell_angle_gamma 120.00
loop_
_atom_site_label
_atom_site_type_symbol
_atom_site_fract_x
_atom_site_fract_y
_atom_site_fract_z
K1 K 0.0000 0.0000 0.1073
Ce1 Ce 0.0000 0.0000 0.5000
Rh1 Rh 0.0000 0.5000 0.0000
O1 O 0.0445 0.5222 0.1007
O2 O 0.0672 0.5336 0.3467
```

Peak list (10 most intense, 2θ = 15–90°, in order of rising 2θ)
| index | 2θ/deg | I_rel |
| --- | --- | --- |
| 0 1 5 | 27.49 | 47 |
| 0 0 6 | 28.30 | 100 |
| 0 2 1 | 28.70 | 31 |
| 2 0 2 | 29.86 | 85 |
| 3 0 3 | 45.47 | 23 |
| 2 0 8 | 48.10 | 29 |
| 2 2 0 | 50.10 | 45 |
| 0 2 10 | 56.75 | 17 |
| 0 0 12 | 58.55 | 22 |
| 2 2 12 | 80.62 | 16 |

---

Entry 3:
# K3CeRh3O8
Theoretical powder XRD pattern, a wavelength of 1.5418 Å. Input: a cell relaxed with GGA-PBE.
Intensities are scaled so that the largest is 100.

```
data_K3CeRh3O8
_space_group_name_H-M_alt 'R -3 m'
_space_group_IT_number 166
_space_group_name_Hall '-R 3 2"'
_cell_length_a 6.3813
_cell_length_b 6.3813
_cell_length_c 18.5884
_cell_angle_alpha 90.00
_cell_angle_beta 90.00
_cell_angle_gamma 120.00
loop_
_atom_site_label
_atom_site_type_symbol
_atom_site_fract_x
_atom_site_fract_y
_atom_site_fract_z
K1 K 0.0000 0.5000 0.0000
Ce1 Ce 0.0000 0.0000 0.5000
Rh1 Rh 0.0000 0.5000 0.5000
O1 O 0.0000 0.0000 0.2212
O2 O 0.0225 0.5112 0.7721
```

Peak list (10 most intense, 2θ = 15–90°, in order of rising 2θ)
| index | 2θ/deg | I_rel |
| --- | --- | --- |
| 0 0 6 | 28.82 | 37 |
| 0 2 1 | 32.77 | 31 |
| 2 0 2 | 33.84 | 60 |
| 0 2 4 | 37.88 | 100 |
| 0 2 7 | 47.49 | 22 |
| 2 0 8 | 51.38 | 33 |
| 2 2 0 | 57.79 | 28 |
| 2 2 3 | 59.87 | 17 |
| 0 2 10 | 59.98 | 17 |
| 2 2 6 | 65.85 | 22 |

---

Entry 4:
# K2CeRu3O12
Theoretical powder XRD pattern, a wavelength of 1.5418 Å. Input: a cell relaxed with GGA-PBE.
Intensities are scaled so that the largest is 100.

```
data_K2CeRu3O12
_space_group_name_H-M_alt 'R -3 m'
_space_group_IT_number 166
_space_group_name_Hall '-R 3 2"'
_cell_length_a 7.2929
_cell_length_b 7.2929
_cell_length_c 18.5817
_cell_angle_alpha 90.00
_cell_angle_beta 90.00
_cell_angle_gamma 120.00
loop_
_atom_site_label
_atom_site_type_symbol
_atom_site_fract_x
_atom_site_fract_y
_atom_site_fract_z
K1 K 0.0000 0.0000 0.1357
Ce1 Ce 0.0000 0.0000 0.5000
Ru1 Ru 0.0000 0.5000 0.0000
O1 O 0.0322 0.5161 0.1030
O2 O 0.0821 0.5411 0.3411
```

Peak list (10 most intense, 2θ = 15–90°, in order of rising 2θ)
| index | 2θ/deg | I_rel |
| --- | --- | --- |
| 0 1 5 | 27.85 | 38 |
| 1 1 3 | 28.40 | 100 |
| 0 2 1 | 28.67 | 33 |
| 0 0 6 | 28.83 | 41 |
| 2 0 2 | 29.88 | 81 |
| 0 2 4 | 34.34 | 17 |
| 3 0 3 | 45.51 | 32 |
| 2 0 8 | 48.66 | 33 |
| 2 2 0 | 50.03 | 41 |
| 2 2 6 | 58.75 | 31 |

---

Entry 5:
# K2CeSO8
Theoretical powder XRD pattern, a wavelength of 1.5418 Å. Input: a cell relaxed with GGA-PBE.
Intensities are scaled so that the largest is 100.

```
data_K2CeSO8
_space_group_name_H-M_alt 'P -3 m 1'
_space_group_IT_number 164
_space_group_name_Hall '-P 3 2"'
_cell_length_a 6.0117
_cell_length_b 6.0117
_cell_length_c 5.8779
_cell_angle_alpha 90.00
_cell_angle_beta 90.00
_cell_angle_gamma 120.00
loop_
_atom_site_label
_atom_site_type_symbol
_atom_site_fract_x
_atom_site_fract_y
_atom_site_fract_z
K1 K 0.3333 0.6667 0.4072
Ce1 Ce 0.0000 0.0000 0.0000
S1 S 0.0000 0.0000 0.5000
O1 O 0.1282 0.2563 0.6708
O2 O 0.3333 0.6667 0.9835
```

Peak list (10 most intense, 2θ = 15–90°, in order of rising 2θ)
| index | 2θ/deg | I_rel |
| --- | --- | --- |
| 1 0 0 | 17.03 | 100 |
| 0 1 1 | 22.82 | 38 |
| 1 1 0 | 29.72 | 72 |
| 1 0 2 | 35.06 | 21 |
| 2 0 1 | 37.80 | 29 |
| 1 1 2 | 43.04 | 40 |
| 0 2 2 | 46.61 | 22 |
| 2 1 1 | 48.80 | 19 |
| 2 1 2 | 56.26 | 16 |
| 0 3 2 | 62.11 | 14 |

---

Entry 6:
# KCeSeO6
Theoretical powder XRD pattern, a wavelength of 1.5418 Å. Input: a cell relaxed with GGA-PBE.
Intensities are scaled so that the largest is 100.

```
data_KCeSeO6
_space_group_name_H-M_alt 'P 3 1 2'
_space_group_IT_number 149
_cell_length_a 5.5857
_cell_length_b 5.5857
_cell_length_c 5.7878
_cell_angle_alpha 90.00
_cell_angle_beta 90.00
_cell_angle_gamma 120.00
loop_
_space_group_symop_operation_xyz
'x,y,z'
'-y,x-y,z'
'-x+y,-x,z'
'-y,-x,-z'
'-x+y,y,-z'
'x,x-y,-z'
loop_
_atom_site_label
_atom_site_type_symbol
_atom_site_fract_x
_atom_site_fract_y
_atom_site_fract_z
K1 K 0.0000 0.0000 0.0000
Ce1 Ce 0.3333 0.6667 0.5000
Se1 Se 0.6667 0.3333 0.5000
O1 O 0.4069 0.0590 0.6799
```

Peak list (10 most intense, 2θ = 15–90°, in order of rising 2θ)
| index | 2θ/deg | I_rel |
| --- | --- | --- |
| 0 0 1 | 15.31 | 89 |
| 1 0 0 | 18.34 | 28 |
| 1 0 1 | 23.98 | 100 |
| 1 1 0 | 32.05 | 42 |
| 2 -1 1 | 35.70 | 40 |
| 2 0 1 | 40.42 | 21 |
| 2 -1 2 | 45.12 | 55 |
| 3 -1 1 | 52.49 | 23 |
| 3 0 0 | 57.12 | 15 |
| 1 1 3 | 58.11 | 14 |

---

Entry 7:
# K2CeSi6O15
Theoretical powder XRD pattern, a wavelength of 1.5418 Å. Input: a cell relaxed with GGA-PBE.
Intensities are scaled so that the largest is 100.

```
data_K2CeSi6O15
_space_group_name_H-M_alt 'C 1 2/c 1'
_space_group_IT_number 15
_cell_length_a 17.8857
_cell_length_b 8.8759
_cell_length_c 12.0423
_cell_angle_alpha 90.00
_cell_angle_beta 132.23
_cell_angle_gamma 90.00
loop_
_space_group_symop_operation_xyz
'x,y,z'
'-x,-y,-z'
'-x,y,-z+1/2'
'x,-y,z+1/2'
'x+1/2,y+1/2,z'
'-x+1/2,-y+1/2,-z'
'-x+1/2,y+1/2,-z+1/2'
'x+1/2,-y+1/2,z+1/2'
loop_
_atom_site_label
_atom_site_type_symbol
_atom_site_fract_x
_atom_site_fract_y
_atom_site_fract_z
K1 K 0.0785 0.1742 0.1570
Ce1 Ce 0.0000 0.1687 0.7500
Si1 Si 0.0953 0.4685 0.4160
Si2 Si 0.1638 0.2639 0.6819
Si3 Si 0.2246 0.0273 0.5733
O1 O 0.0000 0.3930 0.2500
O2 O 0.0798 0.3532 0.9164
O3 O 0.0900 0.1550 0.6783
O4 O 0.0952 0.3736 0.5327
O5 O 0.1076 0.0134 0.4200
O6 O 0.2010 0.4289 0.4565
O7 O 0.2370 0.3705 0.8305
O8 O 0.2415 0.1646 0.6812
```

Peak list (10 most intense, 2θ = 15–90°, in order of rising 2θ)
| index | 2θ/deg | I_rel |
| --- | --- | --- |
| 1 1 1 | 18.26 | 100 |
| 4 0 -2 | 19.94 | 75 |
| 2 2 -1 | 22.38 | 63 |
| 1 1 2 | 26.97 | 99 |
| 5 1 -3 | 27.88 | 66 |
| 0 2 2 | 28.38 | 61 |
| 4 2 -1 | 29.49 | 34 |
| 5 1 -1 | 29.74 | 45 |
| 2 0 2 | 30.79 | 71 |
| 6 0 -4 | 32.69 | 42 |

---

Entry 8:
# K2CeTa5O15
Theoretical powder XRD pattern, a wavelength of 1.5418 Å. Input: a cell relaxed with GGA-PBE.
Intensities are scaled so that the largest is 100.

```
data_K2CeTa5O15
_space_group_name_H-M_alt 'P 4/m b m'
_space_group_IT_number 127
_space_group_name_Hall '-P 4 2ab'
_cell_length_a 12.7044
_cell_length_b 12.7044
_cell_length_c 3.9512
_cell_angle_alpha 90.00
_cell_angle_beta 90.00
_cell_angle_gamma 90.00
loop_
_atom_site_label
_atom_site_type_symbol
_atom_site_fract_x
_atom_site_fract_y
_atom_site_fract_z
K1 K 0.1694 0.3306 0.0000
Ce1 Ce 0.0000 0.0000 0.0000
Ta1 Ta 0.0000 0.5000 0.5000
Ta2 Ta 0.0766 0.7867 0.5000
O1 O 0.0000 0.5000 0.0000
O2 O 0.0013 0.3426 0.5000
O3 O 0.0608 0.1321 0.5000
O4 O 0.0773 0.8074 0.0000
O5 O 0.2160 0.7160 0.5000
```

Peak list (10 most intense, 2θ = 15–90°, in order of rising 2θ)
| index | 2θ/deg | I_rel |
| --- | --- | --- |
| 2 1 0 | 15.60 | 33 |
| 0 0 1 | 22.50 | 67 |
| 3 2 0 | 25.28 | 60 |
| 2 1 1 | 27.50 | 41 |
| 4 1 0 | 28.98 | 66 |
| 4 2 0 | 31.49 | 54 |
| 3 1 1 | 31.76 | 100 |
| 3 2 1 | 34.09 | 39 |
| 0 0 2 | 45.94 | 32 |
| 5 5 1 | 56.25 | 60 |

---

Entry 9:
# KCeTeO5
Theoretical powder XRD pattern, a wavelength of 1.5418 Å. Input: a cell relaxed with GGA-PBE.
Intensities are scaled so that the largest is 100.

```
data_KCeTeO5
_space_group_name_H-M_alt 'C 1 2/c 1'
_space_group_IT_number 15
_cell_length_a 7.8425
_cell_length_b 10.4028
_cell_length_c 8.1948
_cell_angle_alpha 90.00
_cell_angle_beta 114.20
_cell_angle_gamma 90.00
loop_
_space_group_symop_operation_xyz
'x,y,z'
'-x,-y,-z'
'-x,y,-z+1/2'
'x,-y,z+1/2'
'x+1/2,y+1/2,z'
'-x+1/2,-y+1/2,-z'
'-x+1/2,y+1/2,-z+1/2'
'x+1/2,-y+1/2,z+1/2'
loop_
_atom_site_label
_atom_site_type_symbol
_atom_site_fract_x
_atom_site_fract_y
_atom_site_fract_z
K1 K 0.0000 0.1774 0.2500
Ce1 Ce 0.0000 0.5000 0.0000
Te1 Te 0.0000 0.1820 0.7500
O1 O 0.0000 0.4424 0.2500
O2 O 0.0912 0.2873 0.6064
O3 O 0.1875 0.0664 0.9038
```

Peak list (10 most intense, 2θ = 15–90°, in order of rising 2θ)
| index | 2θ/deg | I_rel |
| --- | --- | --- |
| 1 1 0 | 15.03 | 34 |
| 1 1 -1 | 15.69 | 36 |
| 1 1 -2 | 23.49 | 93 |
| 2 0 0 | 24.89 | 79 |
| 1 3 0 | 28.60 | 100 |
| 0 2 2 | 29.43 | 58 |
| 2 2 -2 | 31.69 | 29 |
| 2 2 2 | 45.17 | 25 |
| 3 3 0 | 46.20 | 30 |
| 4 0 -4 | 54.54 | 27 |

---

Entry 10:
# KCeTiO5
Theoretical powder XRD pattern, a wavelength of 1.5418 Å. Input: a cell relaxed with GGA-PBE.
Intensities are scaled so that the largest is 100.

```
data_KCeTiO5
_space_group_name_H-M_alt 'C 1 2/c 1'
_space_group_IT_number 15
_cell_length_a 7.5974
_cell_length_b 10.0783
_cell_length_c 8.1823
_cell_angle_alpha 90.00
_cell_angle_beta 114.00
_cell_angle_gamma 90.00
loop_
_space_group_symop_operation_xyz
'x,y,z'
'-x,-y,-z'
'-x,y,-z+1/2'
'x,-y,z+1/2'
'x+1/2,y+1/2,z'
'-x+1/2,-y+1/2,-z'
'-x+1/2,y+1/2,-z+1/2'
'x+1/2,-y+1/2,z+1/2'
loop_
_atom_site_label
_atom_site_type_symbol
_atom_site_fract_x
_atom_site_fract_y
_atom_site_fract_z
K1 K 0.0000 0.1689 0.2500
Ce1 Ce 0.0000 0.5000 0.0000
Ti1 Ti 0.0000 0.1853 0.7500
O1 O 0.0000 0.4362 0.2500
O2 O 0.0882 0.2918 0.6165
O3 O 0.1894 0.0739 0.8951
```

Peak list (10 most intense, 2θ = 15–90°, in order of rising 2θ)
| index | 2θ/deg | I_rel |
| --- | --- | --- |
| 1 1 0 | 15.50 | 88 |
| 1 1 -2 | 23.68 | 100 |
| 2 0 0 | 25.67 | 61 |
| 1 3 0 | 29.54 | 67 |
| 0 2 2 | 29.76 | 50 |
| 2 2 -2 | 32.44 | 22 |
| 3 1 -2 | 37.54 | 22 |
| 2 2 2 | 45.99 | 20 |
| 3 3 0 | 47.73 | 22 |
| 1 3 -4 | 52.81 | 25 |

---

Entry 11:
# K3CeTm2O6
Theoretical powder XRD pattern, a wavelength of 1.5418 Å. Input: a cell relaxed with GGA-PBE.
Intensities are scaled so that the largest is 100.

```
data_K3CeTm2O6
_space_group_name_H-M_alt 'C 1 2/m 1'
_space_group_IT_number 12
_cell_length_a 6.0640
_cell_length_b 10.5037
_cell_length_c 6.5779
_cell_angle_alpha 90.00
_cell_angle_beta 107.89
_cell_angle_gamma 90.00
loop_
_space_group_symop_operation_xyz
'x,y,z'
'-x,-y,-z'
'-x,y,-z'
'x,-y,z'
'x+1/2,y+1/2,z'
'-x+1/2,-y+1/2,-z'
'-x+1/2,y+1/2,-z'
'x+1/2,-y+1/2,z'
loop_
_atom_site_label
_atom_site_type_symbol
_atom_site_fract_x
_atom_site_fract_y
_atom_site_fract_z
K1 K 0.0000 0.0000 0.0000
K2 K 0.0000 0.3322 0.0000
Ce1 Ce 0.0000 0.5000 0.5000
Tm1 Tm 0.0000 0.1666 0.5000
O1 O 0.2150 0.0000 0.6843
O2 O 0.2346 0.3268 0.6842
```

Peak list (10 most intense, 2θ = 15–90°, in order of rising 2θ)
| index | 2θ/deg | I_rel |
| --- | --- | --- |
| 0 0 2 | 28.52 | 35 |
| 1 3 0 | 29.85 | 38 |
| 2 0 0 | 30.99 | 76 |
| 1 3 1 | 35.24 | 100 |
| 1 3 2 | 45.13 | 20 |
| 2 0 2 | 49.08 | 33 |
| 0 6 0 | 52.26 | 32 |
| 3 3 0 | 54.42 | 20 |
| 1 3 3 | 57.75 | 17 |
| 3 3 1 | 60.61 | 26 |